1.
Starting from a PBE-relaxed structure, the XRD peak list of ErTm5Hg6 was simulated for Cu Kα (weighted mean of Kα1 and Kα2).

Most intense lines, 10° ≤ 2θ ≤ 90°, sorted by position:
2θ/deg  I/Imax
34.47  100
34.61  20
49.62  14
61.70  23
61.93  15
82.94  10

```
data_ErTm5Hg6
_space_group_name_H-M_alt 'P 1'
_space_group_IT_number 1
_cell_length_a 8.232
_cell_length_b 8.232
_cell_length_c 7.366
_cell_angle_alpha 90.00
_cell_angle_beta 90.00
_cell_angle_gamma 143.30
loop_
_space_group_symop_operation_xyz
'x,y,z'
loop_
_atom_site_label
_atom_site_type_symbol
_atom_site_fract_x
_atom_site_fract_y
_atom_site_fract_z
Er1 Er 0.000 0.000 0.000
Tm1 Tm 0.000 0.000 0.500
Tm2 Tm 0.333 0.667 0.000
Tm3 Tm 0.334 0.666 0.500
Tm4 Tm 0.666 0.334 0.500
Tm5 Tm 0.667 0.333 0.000
Hg1 Hg 0.167 0.833 0.251
Hg2 Hg 0.167 0.833 0.749
Hg3 Hg 0.500 0.500 0.250
Hg4 Hg 0.500 0.500 0.750
Hg5 Hg 0.833 0.167 0.251
Hg6 Hg 0.833 0.167 0.749
```

***

2.
Starting from a PBE-relaxed structure, the XRD peak list of Er2Tm2Hg was simulated for Cu Kα (weighted mean of Kα1 and Kα2).

Most intense lines, 10° ≤ 2θ ≤ 90°, sorted by position:
2θ/deg  I/Imax
18.16  13
33.50  100
36.03  45
51.88  16
58.21  16
63.18  33

```
data_Er2Tm2Hg
_space_group_name_H-M_alt 'P 1'
_space_group_IT_number 1
_cell_length_a 12.815
_cell_length_b 12.815
_cell_length_c 12.815
_cell_angle_alpha 157.57
_cell_angle_beta 157.57
_cell_angle_gamma 31.93
loop_
_space_group_symop_operation_xyz
'x,y,z'
loop_
_atom_site_label
_atom_site_type_symbol
_atom_site_fract_x
_atom_site_fract_y
_atom_site_fract_z
Er1 Er 0.049 0.299 0.750
Er2 Er 0.299 0.049 0.250
Er3 Er 0.701 0.951 0.750
Er4 Er 0.951 0.701 0.250
Tm1 Tm 0.198 0.448 0.750
Tm2 Tm 0.448 0.198 0.250
Tm3 Tm 0.552 0.802 0.750
Tm4 Tm 0.802 0.552 0.250
Hg1 Hg 0.125 0.875 0.250
Hg2 Hg 0.875 0.125 0.750
```